Ce2PrAg6: calculated powder diffraction line list (CuKα), based on a DFT-relaxed cell (PBE, Alexandria).
Neutral-atom scattering factors, no anomalous dispersion.

Cell and atoms:
Cell: 8.5415 8.5415 3.2838 Å, 90.00 90.00 120.00°
Space group P6/mmm (No. 191)
Unique sites:
1 Ce 0.3333 0.6667 0.0000 x2
2 Pr 0.0000 0.0000 0.0000 x1
3 Ag 0.0000 0.3341 0.5000 x6

Principal peaks in the range 2θ from 5° to 70°, by angle:
| h k l | two_theta | intensity |
| --- | --- | --- |
| 1 1 0 | 20.8 | 20 |
| 0 0 1 | 27.2 | 36 |
| 1 1 1 | 34.5 | 1000 |
| 3 0 0 | 36.4 | 895 |
| 3 0 1 | 46.0 | 47 |
| 2 2 1 | 51.0 | 321 |
| 0 0 2 | 56.0 | 83 |
| 4 1 1 | 64.3 | 314 |
| 3 3 0 | 65.6 | 152 |
| 3 0 2 | 68.7 | 265 |